Entry 1:
Starting from a cell relaxed with GGA+U, the X-ray powder pattern of Li4Mn5CoO12 was computed for λ = 1.5418 Å (Cu Kα).
Neutral-atom scattering factors, no anomalous dispersion.

Top 8 peaks for 2θ from 10° to 90°, in order of rising 2θ:
5.130 Å, I = 100; 2.566 Å, I = 12; 2.505 Å, I = 15; 2.489 Å, I = 14; 2.071 Å, I = 16; 2.043 Å, I = 16; 1.616 Å, I = 9; 1.594 Å, I = 8

Cell and atoms:
Cell lengths 5.136, 8.927, 10.264 Å; angles 90.00, 91.57, 90.00 degrees
Space group C2 (No. 5)
Symmetry-distinct sites (fractional):
Li1 0.089 0.000 0.249 [4 per cell]
Li2 0.092 0.506 0.251 [4 per cell]
Mn1 0.000 0.079 0.500 [2 per cell]
Mn2 0.000 0.407 0.500 [2 per cell]
Mn3 0.000 0.586 0.000 [2 per cell]
Mn4 0.000 0.747 0.500 [2 per cell]
Mn5 0.000 0.913 0.000 [2 per cell]
Co1 0.000 0.249 0.000 [2 per cell]
O1 0.143 0.749 0.902 [4 per cell]
O2 0.149 0.927 0.610 [4 per cell]
O3 0.174 0.431 0.895 [4 per cell]
O4 0.175 0.065 0.895 [4 per cell]
O5 0.175 0.243 0.593 [4 per cell]
O6 0.184 0.565 0.605 [4 per cell]

Entry 2:
Starting from a cell relaxed with GGA+U, the X-ray powder pattern of MgMnCo3O8 was computed for λ = 1.5418 Å (Cu Kα).
Neutral-atom scattering factors, no anomalous dispersion.

Top 8 peaks for 2θ from 10° to 90°, in order of rising 2θ:
4.831 Å, I = 100; 4.791 Å, I = 84; 2.542 Å, I = 39; 2.533 Å, I = 25; 2.115 Å, I = 36; 2.101 Å, I = 36; 2.035 Å, I = 32; 1.470 Å, I = 24

Cell and atoms:
Cell lengths 5.813, 5.861, 5.880 Å; angles 92.21, 118.82, 118.44 degrees
Space group P1 (No. 1)
Symmetry-distinct sites (fractional):
Mg1 0.000 0.000 0.000 [1 per cell]
Mn1 0.756 0.369 0.629 [1 per cell]
Co1 0.250 0.371 0.633 [1 per cell]
Co2 0.250 0.864 0.625 [1 per cell]
Co3 0.756 0.376 0.139 [1 per cell]
O1 0.211 0.588 0.835 [1 per cell]
O2 0.241 0.596 0.418 [1 per cell]
O3 0.266 0.135 0.854 [1 per cell]
O4 0.286 0.140 0.417 [1 per cell]
O5 0.718 0.584 0.860 [1 per cell]
O6 0.737 0.145 0.868 [1 per cell]
O7 0.765 0.589 0.397 [1 per cell]
O8 0.803 0.163 0.413 [1 per cell]

Entry 3:
Starting from a cell relaxed with GGA+U, the X-ray powder pattern of Li2CrP2O7 was computed for λ = 1.5418 Å (Cu Kα).
Neutral-atom scattering factors, no anomalous dispersion.

Top 8 peaks for 2θ from 10° to 90°, in order of rising 2θ:
6.376 Å, I = 33; 4.230 Å, I = 15; 4.046 Å, I = 100; 3.779 Å, I = 57; 2.945 Å, I = 48; 2.547 Å, I = 18; 2.484 Å, I = 12; 2.397 Å, I = 22

Cell and atoms:
Cell lengths 8.568, 5.094, 14.457 Å; angles 90.00, 118.11, 90.00 degrees
Space group P2_1/c (No. 14)
Symmetry-distinct sites (fractional):
Li1 0.000 0.224 0.079 [4 per cell]
Li2 0.436 0.243 0.815 [4 per cell]
Cr1 0.278 0.239 0.520 [4 per cell]
P1 0.177 0.739 0.150 [4 per cell]
P2 0.304 0.749 0.376 [4 per cell]
O1 0.007 0.183 0.938 [4 per cell]
O2 0.158 0.692 0.754 [4 per cell]
O3 0.215 0.055 0.653 [4 per cell]
O4 0.217 0.630 0.937 [4 per cell]
O5 0.320 0.585 0.647 [4 per cell]
O6 0.332 0.046 0.893 [4 per cell]
O7 0.470 0.605 0.888 [4 per cell]

Entry 4:
Starting from a cell relaxed with GGA+U, the X-ray powder pattern of Mn2V3FeP6O24 was computed for λ = 1.5418 Å (Cu Kα).
Neutral-atom scattering factors, no anomalous dispersion.

Top 8 peaks for 2θ from 10° to 90°, in order of rising 2θ:
4.319 Å, I = 80; 3.682 Å, I = 100; 2.730 Å, I = 72; 2.494 Å, I = 34; 1.931 Å, I = 27; 1.841 Å, I = 27; 1.632 Å, I = 36; 1.481 Å, I = 23

Cell and atoms:
Cell lengths 8.6383, 8.6383, 21.1404 Å; angles 90.00, 90.00, 120.00 degrees
Space group R3 (No. 146, hexagonal axes)
Symmetry-distinct sites (fractional):
Mn1 0.0000 0.0000 0.0000 [3 per cell]
Mn2 0.0000 0.0000 0.4991 [3 per cell]
V1 0.0000 0.0000 0.1445 [3 per cell]
V2 0.0000 0.0000 0.6438 [3 per cell]
V3 0.0000 0.0000 0.8559 [3 per cell]
Fe1 0.0000 0.0000 0.3550 [3 per cell]
P1 0.0004 0.2928 0.2503 [9 per cell]
P2 0.0003 0.7090 0.7506 [9 per cell]
O1 0.0035 0.1950 0.1898 [9 per cell]
O2 0.0035 0.8115 0.8108 [9 per cell]
O3 0.0037 0.8095 0.6904 [9 per cell]
O4 0.0182 0.1830 0.9197 [9 per cell]
O5 0.0229 0.8346 0.4231 [9 per cell]
O6 0.1383 0.4674 0.9776 [9 per cell]
O7 0.1686 0.4830 0.2458 [9 per cell]
O8 0.1700 0.6886 0.7464 [9 per cell]

Entry 5:
Starting from a cell relaxed with GGA+U, the X-ray powder pattern of Na2SrMnV2O8 was computed for λ = 1.5418 Å (Cu Kα).
Neutral-atom scattering factors, no anomalous dispersion.

Top 8 peaks for 2θ from 10° to 90°, in order of rising 2θ:
4.894 Å, I = 20; 4.011 Å, I = 40; 2.847 Å, I = 87; 2.825 Å, I = 100; 2.006 Å, I = 41; 1.635 Å, I = 21; 1.631 Å, I = 13; 1.488 Å, I = 16

Cell and atoms:
Cell lengths 14.002, 5.648, 9.792 Å; angles 90.00, 90.06, 90.00 degrees
Space group P2_1/c (No. 14)
Symmetry-distinct sites (fractional):
Na1 0.084 0.023 0.319 [4 per cell]
Na2 0.414 0.517 0.150 [4 per cell]
Sr1 0.250 0.561 0.461 [4 per cell]
Mn1 0.000 0.000 0.000 [2 per cell]
Mn2 0.500 0.000 0.000 [2 per cell]
V1 0.137 0.020 0.649 [4 per cell]
V2 0.363 0.033 0.317 [4 per cell]
O1 0.075 0.012 0.804 [4 per cell]
O2 0.086 0.691 0.039 [4 per cell]
O3 0.123 0.192 0.082 [4 per cell]
O4 0.245 0.015 0.362 [4 per cell]
O5 0.253 0.555 0.185 [4 per cell]
O6 0.381 0.003 0.140 [4 per cell]
O7 0.408 0.193 0.868 [4 per cell]
O8 0.425 0.688 0.908 [4 per cell]

Entry 6:
Starting from a cell relaxed with GGA+U, the X-ray powder pattern of Li9Mn2Co5O16 was computed for λ = 1.5418 Å (Cu Kα).
Neutral-atom scattering factors, no anomalous dispersion.

Top 8 peaks for 2θ from 10° to 90°, in order of rising 2θ:
4.823 Å, I = 100; 2.548 Å, I = 16; 2.471 Å, I = 12; 2.456 Å, I = 12; 2.130 Å, I = 30; 2.054 Å, I = 26; 2.036 Å, I = 26; 1.475 Å, I = 15

Cell and atoms:
Cell lengths 5.175, 5.885, 10.381 Å; angles 104.57, 94.84, 108.65 degrees
Space group P1 (No. 1)
Symmetry-distinct sites (fractional):
Li1 0.000 0.000 0.000 [1 per cell]
Li2 0.000 0.498 0.000 [1 per cell]
Li3 0.001 0.375 0.259 [1 per cell]
Li4 0.008 0.759 0.503 [1 per cell]
Li5 0.011 0.115 0.744 [1 per cell]
Li6 0.499 0.188 0.626 [1 per cell]
Li7 0.995 0.616 0.743 [1 per cell]
Li8 0.997 0.880 0.255 [1 per cell]
Li9 0.998 0.247 0.508 [1 per cell]
Mn1 0.498 0.433 0.128 [1 per cell]
Mn2 0.507 0.558 0.876 [1 per cell]
Co1 0.496 0.310 0.388 [1 per cell]
Co2 0.498 0.817 0.382 [1 per cell]
Co3 0.502 0.061 0.874 [1 per cell]
Co4 0.502 0.936 0.129 [1 per cell]
Co5 0.507 0.690 0.627 [1 per cell]
O1 0.253 0.033 0.430 [1 per cell]
O2 0.258 0.168 0.183 [1 per cell]
O3 0.265 0.308 0.947 [1 per cell]
O4 0.271 0.545 0.440 [1 per cell]
O5 0.272 0.430 0.703 [1 per cell]
O6 0.283 0.912 0.704 [1 per cell]
O7 0.293 0.655 0.190 [1 per cell]
O8 0.301 0.786 0.946 [1 per cell]
O9 0.706 0.213 0.063 [1 per cell]
O10 0.715 0.073 0.308 [1 per cell]
O11 0.717 0.346 0.825 [1 per cell]
O12 0.728 0.569 0.300 [1 per cell]
O13 0.733 0.951 0.557 [1 per cell]
O14 0.735 0.695 0.060 [1 per cell]
O15 0.740 0.476 0.558 [1 per cell]
O16 0.747 0.823 0.819 [1 per cell]